Entry 1:
Structure and calculated X-ray diffraction stick pattern of Tm2Co6B3 (a structure optimized by DFT (GGA-PBE); Cu Kα, 1.54184 Å).
Intensities are scaled so that the largest is 100.

Structure:
```
Tm2Co6B3
1.0
6.4963 0.0000 0.0000
-3.2482 5.6260 0.0000
0.0000 0.0000 3.5571
Tm Co B
2 6 3
direct
0.3333 0.6667 0.0000
0.6667 0.3333 0.0000
0.0000 0.2820 0.5000
0.0000 0.7908 0.0000
0.2092 0.2092 0.0000
0.2820 0.0000 0.5000
0.7180 0.7180 0.5000
0.7908 0.0000 0.0000
0.0000 0.6284 0.5000
0.3716 0.3716 0.5000
0.6284 0.0000 0.5000
```

The 12 most intense peaks (10° ≤ 2θ ≤ 90°), most intense first:
2theta	I (rel.)
37.50	100.0
49.97	39.8
42.51	27.1
27.46	25.7
31.81	24.6
48.55	23.9
83.26	21.3
25.03	21.2
73.36	18.6
51.37	16.5
68.82	12.4
62.91	12.1

Entry 2:
Structure and calculated X-ray diffraction stick pattern of Tm2Co3B6 (a structure optimized by DFT (GGA-PBE); Cu Kα, 1.54184 Å).
Intensities are scaled so that the largest is 100.

Structure:
```
Tm2Co3B6
1.0
3.8176 -4.2525 0.0000
3.8176 4.2525 0.0000
0.0000 0.0000 3.4580
Tm Co B
2 3 6
direct
0.2209 0.7791 0.0000
0.7791 0.2209 0.0000
0.2781 0.2781 0.0000
0.5000 0.5000 0.5000
0.7219 0.7219 0.0000
0.1118 0.1118 0.5000
0.1212 0.4163 0.5000
0.4163 0.1212 0.5000
0.5837 0.8788 0.5000
0.8788 0.5837 0.5000
0.8882 0.8882 0.5000
```

The 12 most intense peaks (10° ≤ 2θ ≤ 90°), most intense first:
2theta	I (rel.)
41.12	100.0
31.49	52.0
25.76	40.2
23.30	26.3
33.40	23.4
33.72	20.3
47.64	16.4
42.52	16.3
52.96	14.8
62.93	14.4
72.16	11.5
50.38	11.3

Entry 3:
Structure and calculated X-ray diffraction stick pattern of Tm4CoB13 (a structure optimized by DFT (GGA-PBE); Cu Kα, 1.54184 Å).
Intensities are scaled so that the largest is 100.

Structure:
```
Tm4CoB13
1.0
7.2510 0.0000 0.0000
0.0000 7.2510 0.0000
0.0000 0.0000 6.8086
Tm Co B
8 2 26
direct
0.1815 0.3153 0.0000
0.1847 0.3185 0.5000
0.3153 0.8185 0.0000
0.3185 0.8153 0.5000
0.6815 0.1847 0.5000
0.6847 0.1815 0.0000
0.8153 0.6815 0.5000
0.8185 0.6847 0.0000
0.0000 0.0000 0.5000
0.5000 0.5000 0.0000
0.0000 0.0000 0.0000
0.0391 0.8294 0.2457
0.0391 0.8294 0.7543
0.0902 0.5902 0.2500
0.0902 0.5902 0.7500
0.1706 0.0391 0.2457
0.1706 0.0391 0.7543
0.3294 0.5391 0.2543
0.3294 0.5391 0.7457
0.4098 0.0902 0.2500
0.4098 0.0902 0.7500
0.4609 0.3294 0.2543
0.4609 0.3294 0.7457
0.5000 0.5000 0.5000
0.5391 0.6706 0.2543
0.5391 0.6706 0.7457
0.5902 0.9098 0.2500
0.5902 0.9098 0.7500
0.6706 0.4609 0.2543
0.6706 0.4609 0.7457
0.8294 0.9609 0.2457
0.8294 0.9609 0.7543
0.9098 0.4098 0.2500
0.9098 0.4098 0.7500
0.9609 0.1706 0.2457
0.9609 0.1706 0.7543
```

The 12 most intense peaks (10° ≤ 2θ ≤ 90°), most intense first:
2theta	I (rel.)
38.33	100.0
27.51	97.5
26.18	59.5
24.55	41.6
36.20	41.3
59.13	41.0
52.00	38.2
47.83	27.4
78.15	23.6
44.23	22.2
61.53	21.4
39.29	20.3